La3TlN2: computed powder X-ray diffraction pattern (Cu Kα (λ = 1.5418 Å)), based on the GGA-PBE geometry in Alexandria.

Principal peaks in the range 10° ≤ 2θ ≤ 80°, by angle:
28.1°, rel. 29, hkl 0 4 0
29.9°, rel. 100, hkl 1 2 1
30.8°, rel. 22, hkl 0 0 2
42.2°, rel. 15, hkl 0 4 2
50.9°, rel. 17, hkl 1 6 1
54.2°, rel. 12, hkl 1 2 3

Structure:
```
12
Lattice="4.185 0.000 0.000 0.000 12.688 0.000 0.000 0.000 5.799" Properties=species:S:1:pos:R:3 pbc="T T T"
La 1.046 0.320 1.387
La 1.046 3.172 4.524
La 1.046 6.024 1.387
La 3.139 6.664 4.412
La 3.139 9.516 1.274
La 3.139 12.368 4.412
Tl 1.046 9.516 3.986
Tl 3.139 3.172 1.812
N 1.046 0.791 4.873
N 1.046 5.553 4.873
N 3.139 7.135 0.926
N 3.139 11.897 0.926
```